For NbCrCdO6, DFT lattice parameters and positions (GGA+U) gives the computed powder diffractogram in this record (Cu Kα).

Structure:
Cell: 4.7907 4.7907 9.4921 Å, 90.00 90.00 90.00°
Space group P4_2nm (No. 102)
Symmetry-distinct sites (fractional):
Nb 0.0000 0.0000 0.0000 x2
Cr 0.0000 0.0000 0.3247 x2
Cd 0.0000 0.0000 0.6601 x2
O 0.1768 0.1768 0.1701 x4
O 0.2155 0.2155 0.4702 x4
O 0.2351 0.2351 0.8537 x4

Largest 10 diffraction maxima, by angle, 2θ from 15° to 90°:
2θ/deg	intensity
26.31	100
33.95	78
37.55	17
51.51	61
54.15	18
61.18	14
65.07	13
65.47	18
77.99	12
89.95	11